[1]
Theoretical PXRD pattern of MgGa for Cu Kα X-rays, from a DFT-relaxed cell (GGA-PBE, the Materials Project).
Neutral-atom scattering factors, no anomalous dispersion.

Most intense lines, 15 to 90 degrees two-theta, by intensity:
- 2θ = 36.7°, I 100.0, hkl 1 0 1
- 2θ = 41.0°, I 36.3, hkl 1 1 0
- 2θ = 71.9°, I 25.8, hkl 2 1 1
- 2θ = 28.7°, I 22.0, hkl 1 0 0
- 2θ = 22.3°, I 20.3, hkl 0 0 1
- 2θ = 62.9°, I 19.5, hkl 1 1 2
- 2θ = 45.5°, I 13.3, hkl 0 0 2
- 2θ = 59.4°, I 11.7, hkl 2 0 0

a = 3.111 Å, b = 3.111 Å, c = 3.983 Å
α = 90.00°, β = 90.00°, γ = 90.00°
Space group P4/mmm (No. 123)
Asymmetric unit:
1 Mg 0.000 0.000 0.000 x1
2 Ga 0.500 0.500 0.500 x1

=====

[2]
Theoretical PXRD pattern of MgGa2 for Cu Kα X-rays, from a DFT-relaxed cell (GGA-PBE, the Materials Project).
Neutral-atom scattering factors, no anomalous dispersion.

Most intense lines, 15 to 90 degrees two-theta, by intensity:
- 2θ = 38.0°, I 100.0, hkl 1 1 3
- 2θ = 41.3°, I 35.2, hkl 1 0 6
- 2θ = 36.9°, I 34.5, hkl 2 0 0
- 2θ = 33.1°, I 26.3, hkl 0 1 3
- 2θ = 69.5°, I 20.8, hkl 2 2 0
- 2θ = 67.2°, I 17.7, hkl 3 1 3
- 2θ = 50.4°, I 15.7, hkl 2 1 3
- 2θ = 18.2°, I 15.0, hkl 1 0 0

a = 4.872 Å, b = 3.251 Å, c = 14.657 Å
α = 90.00°, β = 90.00°, γ = 90.00°
Space group Amm2 (No. 38)
Asymmetric unit:
1 Mg 0.000 0.000 0.000 x2
2 Mg 0.000 0.000 0.322 x2
3 Ga 0.000 0.000 0.662 x2
4 Ga 0.500 0.000 0.115 x2
5 Ga 0.500 0.000 0.439 x2
6 Ga 0.500 0.000 0.773 x2

=====

[3]
Theoretical PXRD pattern of MgGa5 for Cu Kα X-rays, from a DFT-relaxed cell (GGA-PBE, the Materials Project).
Neutral-atom scattering factors, no anomalous dispersion.

Most intense lines, 15 to 90 degrees two-theta, by intensity:
- 2θ = 39.5°, I 100.0, hkl 1 1 1
- 2θ = 35.2°, I 54.4, hkl 0 0 2
- 2θ = 74.3°, I 25.0, hkl 3 0 2
- 2θ = 66.0°, I 21.2, hkl 1 1 3
- 2θ = 50.6°, I 16.6, hkl 1 1 2
- 2θ = 63.1°, I 15.9, hkl 3 0 0
- 2θ = 77.0°, I 13.1, hkl 2 2 1
- 2θ = 85.0°, I 7.0, hkl 2 2 2

a = 5.1064 Å, b = 5.1064 Å, c = 5.1010 Å
α = 90.00°, β = 90.00°, γ = 120.00°
Space group P-62m (No. 189)
Asymmetric unit:
1 Mg 0.0000 0.0000 0.0000 x1
2 Ga 0.0000 0.6635 0.5000 x3
3 Ga 0.3333 0.6667 0.0000 x2

=====

[4]
Theoretical PXRD pattern of MgGa for Cu Kα X-rays, from a DFT-relaxed cell (GGA-PBE, the Materials Project).
Neutral-atom scattering factors, no anomalous dispersion.

Most intense lines, 15 to 90 degrees two-theta, by intensity:
- 2θ = 37.1°, I 100.0, hkl 1 1 -2
- 2θ = 38.8°, I 76.2, hkl 3 1 0
- 2θ = 36.7°, I 52.0, hkl 4 0 -2
- 2θ = 17.6°, I 36.5, hkl 2 0 0
- 2θ = 33.1°, I 34.9, hkl 1 1 1
- 2θ = 41.7°, I 32.6, hkl 4 0 1
- 2θ = 38.4°, I 28.8, hkl 0 0 3
- 2θ = 35.4°, I 26.5, hkl 2 0 2

a = 10.626 Å, b = 3.206 Å, c = 7.407 Å
α = 90.00°, β = 108.38°, γ = 90.00°
Space group Cm (No. 8)
Asymmetric unit:
1 Mg 0.000 0.000 0.000 x2
2 Mg 0.044 0.000 0.603 x2
3 Mg 0.349 0.000 0.255 x2
4 Ga 0.142 0.500 0.346 x2
5 Ga 0.216 0.500 0.914 x2
6 Ga 0.324 0.000 0.649 x2

=====

[5]
Theoretical PXRD pattern of Mg5Ga2 for Cu Kα X-rays, from a DFT-relaxed cell (GGA-PBE, the Materials Project).
Neutral-atom scattering factors, no anomalous dispersion.

Most intense lines, 15 to 90 degrees two-theta, by intensity:
- 2θ = 23.4°, I 100.0, hkl 1 2 1
- 2θ = 36.6°, I 67.5, hkl 2 4 0
- 2θ = 39.4°, I 65.3, hkl 2 0 2
- 2θ = 39.8°, I 62.4, hkl 0 4 2
- 2θ = 43.5°, I 37.3, hkl 3 2 1
- 2θ = 44.3°, I 32.3, hkl 1 6 1
- 2θ = 29.7°, I 17.0, hkl 0 0 2
- 2θ = 26.0°, I 16.2, hkl 0 4 0

a = 7.029 Å, b = 13.726 Å, c = 6.025 Å
α = 90.00°, β = 90.00°, γ = 90.00°
Space group Ibam (No. 72)
Asymmetric unit:
1 Mg 0.000 0.000 0.250 x4
2 Mg 0.000 0.232 0.250 x8
3 Mg 0.154 0.416 0.000 x8
4 Ga 0.236 0.377 0.500 x8

=====

[6]
Theoretical PXRD pattern of Mg14MnGa for Cu Kα X-rays, from a DFT-relaxed cell (GGA-PBE, the Materials Project).
Neutral-atom scattering factors, no anomalous dispersion.

Most intense lines, 15 to 90 degrees two-theta, by intensity:
- 2θ = 37.6°, I 100.0, hkl 2 0 2
- 2θ = 35.0°, I 27.0, hkl 0 0 4
- 2θ = 33.1°, I 25.4, hkl 2 0 0
- 2θ = 64.5°, I 19.0, hkl 2 0 6
- 2θ = 70.6°, I 18.7, hkl 2 2 4
- 2θ = 59.1°, I 16.5, hkl 2 2 0
- 2θ = 48.9°, I 16.2, hkl 2 0 4
- 2θ = 16.4°, I 14.5, hkl 1 0 0

a = 6.2492 Å, b = 6.2492 Å, c = 10.2610 Å
α = 90.00°, β = 90.00°, γ = 120.00°
Space group P-6m2 (No. 187)
Asymmetric unit:
1 Mg 0.0000 0.0000 0.2494 x2
2 Mg 0.0057 0.5029 0.2487 x6
3 Mg 0.3327 0.1663 0.5000 x3
4 Mg 0.3338 0.1669 0.0000 x3
5 Mn 0.3333 0.6667 0.0000 x1
6 Ga 0.3333 0.6667 0.5000 x1

=====

[7]
Theoretical PXRD pattern of Mg14MnGa for Cu Kα X-rays, from a DFT-relaxed cell (GGA-PBE, the Materials Project).
Neutral-atom scattering factors, no anomalous dispersion.

Most intense lines, 15 to 90 degrees two-theta, by intensity:
- 2θ = 37.5°, I 100.0, hkl 2 0 4
- 2θ = 35.2°, I 26.1, hkl 4 0 0
- 2θ = 33.0°, I 25.6, hkl 0 2 2
- 2θ = 70.4°, I 18.5, hkl 4 4 0
- 2θ = 64.6°, I 18.1, hkl 6 0 4
- 2θ = 58.8°, I 16.7, hkl 0 4 0
- 2θ = 49.0°, I 16.0, hkl 4 2 2
- 2θ = 71.9°, I 8.9, hkl 2 4 4

a = 10.210 Å, b = 6.271 Å, c = 10.882 Å
α = 90.00°, β = 90.00°, γ = 90.00°
Space group Amm2 (No. 38)
Asymmetric unit:
1 Mg 0.000 0.000 0.000 x2
2 Mg 0.000 0.000 0.500 x2
3 Mg 0.000 0.250 0.251 x4
4 Mg 0.253 0.000 0.165 x4
5 Mg 0.254 0.000 0.665 x4
6 Mg 0.260 0.249 0.419 x8
7 Mg 0.500 0.249 0.749 x4
8 Mn 0.500 0.000 0.503 x2
9 Ga 0.500 0.000 0.001 x2

=====

[8]
Theoretical PXRD pattern of Mg2MnGa3 for Cu Kα X-rays, from a DFT-relaxed cell (GGA-PBE, the Materials Project).
Neutral-atom scattering factors, no anomalous dispersion.

Most intense lines, 15 to 90 degrees two-theta, by intensity:
- 2θ = 40.6°, I 100.0, hkl 2 2 1
- 2θ = 41.2°, I 61.7, hkl 1 3 2
- 2θ = 39.2°, I 55.5, hkl 2 0 2
- 2θ = 19.3°, I 41.8, hkl 1 1 0
- 2θ = 42.1°, I 41.2, hkl 0 0 4
- 2θ = 44.6°, I 34.7, hkl 2 2 2
- 2θ = 20.7°, I 32.6, hkl 0 0 2
- 2θ = 47.0°, I 30.9, hkl 0 4 2

a = 5.440 Å, b = 8.659 Å, c = 8.588 Å
α = 90.00°, β = 90.00°, γ = 90.00°
Space group Cmcm (No. 63)
Asymmetric unit:
1 Mg 0.000 0.173 0.066 x8
2 Mn 0.000 0.342 0.750 x4
3 Ga 0.000 0.500 0.000 x4
4 Ga 0.237 0.091 0.750 x8

=====

[9]
Theoretical PXRD pattern of Mg2MnGa3S8 for Cu Kα X-rays, from a DFT-relaxed cell (GGA-PBE, the Materials Project).
Neutral-atom scattering factors, no anomalous dispersion.

Most intense lines, 15 to 90 degrees two-theta, by intensity:
- 2θ = 34.6°, I 100.0, hkl 4 0 0
- 2θ = 49.7°, I 94.4, hkl 2 2 2
- 2θ = 28.5°, I 80.1, hkl 4 0 -1
- 2θ = 45.4°, I 47.5, hkl 4 0 1
- 2θ = 62.0°, I 19.9, hkl 0 0 4
- 2θ = 83.3°, I 19.7, hkl 0 4 4
- 2θ = 52.2°, I 17.3, hkl 0 4 1
- 2θ = 69.6°, I 15.4, hkl 8 0 -5

a = 12.702 Å, b = 7.337 Å, c = 7.340 Å
α = 90.00°, β = 125.29°, γ = 90.00°
Space group C2/m (No. 12)
Asymmetric unit:
1 Mg 0.125 0.000 0.374 x4
2 Mn 0.000 0.500 0.500 x2
3 Ga 0.000 0.500 0.000 x2
4 Ga 0.250 0.250 0.000 x4
5 S 0.011 0.274 0.760 x8
6 S 0.237 0.500 0.759 x4
7 S 0.239 0.500 0.216 x4

=====

[10]
Theoretical PXRD pattern of Mg14GaMo for Cu Kα X-rays, from a DFT-relaxed cell (GGA-PBE, the Materials Project).
Neutral-atom scattering factors, no anomalous dispersion.

Most intense lines, 15 to 90 degrees two-theta, by intensity:
- 2θ = 37.9°, I 100.0, hkl 2 0 2
- 2θ = 16.4°, I 31.3, hkl 1 0 0
- 2θ = 33.1°, I 27.7, hkl 2 0 0
- 2θ = 36.3°, I 24.8, hkl 0 0 4
- 2θ = 71.3°, I 18.5, hkl 2 2 4
- 2θ = 24.3°, I 18.3, hkl 1 0 2
- 2θ = 66.3°, I 17.9, hkl 2 0 6
- 2θ = 59.1°, I 16.8, hkl 2 2 0

a = 6.2527 Å, b = 6.2527 Å, c = 9.9122 Å
α = 90.00°, β = 90.00°, γ = 120.00°
Space group P-6m2 (No. 187)
Asymmetric unit:
1 Mg 0.0000 0.0000 0.2487 x2
2 Mg 0.0157 0.5079 0.2457 x6
3 Mg 0.3326 0.1663 0.5000 x3
4 Mg 0.3346 0.1673 0.0000 x3
5 Ga 0.3333 0.6667 0.5000 x1
6 Mo 0.3333 0.6667 0.0000 x1

=====

[11]
Theoretical PXRD pattern of Mg14GaMo for Cu Kα X-rays, from a DFT-relaxed cell (GGA-PBE, the Materials Project).
Neutral-atom scattering factors, no anomalous dispersion.

Most intense lines, 15 to 90 degrees two-theta, by intensity:
- 2θ = 37.9°, I 100.0, hkl 2 2 2
- 2θ = 37.6°, I 52.2, hkl 2 0 4
- 2θ = 35.4°, I 39.6, hkl 4 0 0
- 2θ = 33.4°, I 27.9, hkl 0 2 2
- 2θ = 18.6°, I 21.6, hkl 1 0 2
- 2θ = 71.0°, I 19.8, hkl 4 2 6
- 2θ = 65.2°, I 18.4, hkl 6 2 2
- 2θ = 49.5°, I 17.6, hkl 4 2 2

a = 10.145 Å, b = 6.174 Å, c = 10.836 Å
α = 90.00°, β = 90.00°, γ = 90.00°
Space group Amm2 (No. 38)
Asymmetric unit:
1 Mg 0.000 0.000 0.000 x2
2 Mg 0.000 0.000 0.500 x2
3 Mg 0.000 0.249 0.251 x4
4 Mg 0.251 0.000 0.665 x4
5 Mg 0.257 0.000 0.162 x4
6 Mg 0.262 0.246 0.920 x8
7 Mg 0.500 0.249 0.249 x4
8 Ga 0.500 0.000 0.502 x2
9 Mo 0.500 0.000 0.002 x2

=====

[12]
Theoretical PXRD pattern of Mg6GaMo for Cu Kα X-rays, from a DFT-relaxed cell (GGA-PBE, the Materials Project).
Neutral-atom scattering factors, no anomalous dispersion.

Most intense lines, 15 to 90 degrees two-theta, by intensity:
- 2θ = 38.5°, I 100.0, hkl 1 2 2
- 2θ = 16.6°, I 72.3, hkl 0 1 1
- 2θ = 38.8°, I 58.3, hkl 1 0 4
- 2θ = 37.2°, I 40.2, hkl 2 0 0
- 2θ = 33.6°, I 32.7, hkl 0 2 2
- 2θ = 34.7°, I 24.6, hkl 1 1 3
- 2θ = 16.8°, I 20.7, hkl 0 0 2
- 2θ = 51.0°, I 19.3, hkl 2 2 2

a = 4.836 Å, b = 6.186 Å, c = 10.578 Å
α = 90.00°, β = 90.00°, γ = 90.00°
Space group Amm2 (No. 38)
Asymmetric unit:
1 Mg 0.000 0.000 0.000 x2
2 Mg 0.000 0.238 0.745 x4
3 Mg 0.500 0.000 0.168 x2
4 Mg 0.500 0.246 0.417 x4
5 Ga 0.000 0.000 0.518 x2
6 Mo 0.500 0.000 0.662 x2